The following is a computed XRD peak list of ScCuPd3. It was derived from a DFT-relaxed cell (PBE, Alexandria), using Cu Ka.

Largest 10 diffraction maxima, by intensity, 2θ = 10–90°:
d/Å, Position (°2θ), Rel. int., hkl
2.291, 39.3, 100, 2 2 1
2.319, 38.8, 64, 1 2 2
2.237, 40.3, 36, 0 3 1
4.795, 18.5, 33, 1 0 1
2.271, 39.7, 32, 2 1 2
2.115, 42.8, 31, 3 0 1
3.017, 29.6, 29, 2 1 0
2.175, 41.5, 28, 1 0 3
2.188, 41.3, 23, 0 1 3
2.121, 42.6, 20, 1 3 1

Cell and atoms:
```
data_ScCuPd3
_space_group_name_H-M_alt 'P n m a'
_space_group_IT_number 62
_space_group_name_Hall '-P 2ac 2n'
_cell_length_a 6.6658
_cell_length_b 7.0936
_cell_length_c 6.9021
_cell_angle_alpha 90.00
_cell_angle_beta 90.00
_cell_angle_gamma 90.00
loop_
_atom_site_label
_atom_site_fract_x
_atom_site_fract_y
_atom_site_fract_z
_atom_site_occupancy
Sc1 0.0000 0.0000 0.0000 1
Cu1 0.1859 0.2500 0.4273 1
Pd1 0.1323 0.7500 0.2812 1
Pd2 0.1357 0.5560 0.6448 1
```